Entry 1:
Diffraction record for VFeP4O14. The powder X-ray diffraction pattern is computed, not measured: it uses a structure optimized by DFT (GGA+U) and copper Kα.

The 8 most intense peaks (2θ = 10–90°), by angle:
hkl, d_spacing, I/Imax
0 1 1, 5.186, 100
1 0 -1, 4.056, 19
1 1 1, 3.931, 17
1 1 -1, 3.884, 19
1 -1 0, 3.459, 17
1 -1 1, 3.185, 12
1 1 2, 3.023, 22
1 1 -2, 2.980, 22

Structural model:
Cell: 4.8880 6.9907 8.1180 Å, 89.47 89.25 74.60°
Space group P1 (No. 1)
One atom of each set of equivalent atoms:
V  0.0000  0.0000  0.0000 (multiplicity 1)
Fe  0.5734  0.4597  0.5018 (multiplicity 1)
P  0.0390  0.6182  0.2633 (multiplicity 1)
P  0.1720  0.2222  0.6804 (multiplicity 1)
P  0.4002  0.2337  0.1880 (multiplicity 1)
P  0.5478  0.8366  0.7657 (multiplicity 1)
O  0.0589  0.1970  0.8598 (multiplicity 1)
O  0.2029  0.0951  0.1667 (multiplicity 1)
O  0.2234  0.4530  0.1346 (multiplicity 1)
O  0.2243  0.6460  0.4039 (multiplicity 1)
O  0.3422  0.8283  0.9128 (multiplicity 1)
O  0.3501  0.3681  0.6830 (multiplicity 1)
O  0.3748  0.0025  0.6416 (multiplicity 1)
O  0.4964  0.2368  0.3628 (multiplicity 1)
O  0.6442  0.6485  0.6697 (multiplicity 1)
O  0.6487  0.1769  0.0629 (multiplicity 1)
O  0.7739  0.5589  0.3113 (multiplicity 1)
O  0.8026  0.9028  0.8307 (multiplicity 1)
O  0.9330  0.2577  0.5595 (multiplicity 1)
O  0.9607  0.8047  0.1475 (multiplicity 1)

Entry 2:
Diffraction record for V2FeP3O12. The powder X-ray diffraction pattern is computed, not measured: it uses a structure optimized by DFT (GGA+U) and copper Kα.

The 8 most intense peaks (2θ = 10–90°), by angle:
hkl, d_spacing, I/Imax
1 1 0, 4.325, 72
1 1 3, 3.671, 100
2 0 2, 3.524, 17
1 1 6, 2.707, 62
3 0 0, 2.497, 32
1 2 8, 1.916, 30
2 2 6, 1.835, 23
4 1 0, 1.635, 21

Structural model:
Cell: 8.6499 8.6499 20.8225 Å, 90.00 90.00 120.00°
Space group R-3c (No. 167, hexagonal axes)
One atom of each set of equivalent atoms:
V  0.0000  0.0000  0.1427 (multiplicity 12)
Fe  0.0000  0.0000  0.0000 (multiplicity 6)
P  0.0000  0.2916  0.2500 (multiplicity 18)
O  0.0019  0.1943  0.1889 (multiplicity 36)
O  0.0197  0.1849  0.9222 (multiplicity 36)

Entry 3:
Diffraction record for V3FeP6O24. The powder X-ray diffraction pattern is computed, not measured: it uses a structure optimized by DFT (GGA+U) and copper Kα.

The 8 most intense peaks (2θ = 10–90°), by angle:
hkl, d_spacing, I/Imax
0 1 2, 6.111, 42
1 0 4, 4.374, 57
1 1 0, 4.271, 26
2 -1 3, 3.677, 100
0 2 4, 3.056, 46
2 1 1, 2.773, 15
1 1 6, 2.760, 26
3 -2 8, 1.947, 12

Structural model:
Cell: 8.5412 8.5412 21.6968 Å, 90.00 90.00 120.00°
Space group R3 (No. 146, hexagonal axes)
One atom of each set of equivalent atoms:
V  0.0000  0.0000  0.0000 (multiplicity 3)
V  0.0000  0.0000  0.2193 (multiplicity 3)
V  0.0000  0.0000  0.7202 (multiplicity 3)
Fe  0.0000  0.0000  0.4999 (multiplicity 3)
P  0.9999  0.2826  0.6094 (multiplicity 9)
P  0.9998  0.7186  0.1090 (multiplicity 9)
O  0.0178  0.8310  0.0512 (multiplicity 9)
O  0.0271  0.1911  0.2685 (multiplicity 9)
O  0.0350  0.2082  0.5515 (multiplicity 9)
O  0.0360  0.8410  0.7676 (multiplicity 9)
O  0.1635  0.4765  0.6194 (multiplicity 9)
O  0.1631  0.6964  0.1131 (multiplicity 9)
O  0.1667  0.4693  0.3341 (multiplicity 9)
O  0.1701  0.6997  0.8338 (multiplicity 9)

Entry 4:
Diffraction record for VFe2P3O12. The powder X-ray diffraction pattern is computed, not measured: it uses a structure optimized by DFT (GGA+U) and copper Kα.

The 8 most intense peaks (2θ = 10–90°), by angle:
hkl, d_spacing, I/Imax
1 1 0, 4.327, 78
1 1 3, 3.651, 100
1 1 6, 2.674, 69
3 0 0, 2.498, 39
1 2 8, 1.895, 25
2 2 6, 1.826, 27
4 1 0, 1.636, 22
4 1 6, 1.474, 21

Structural model:
Cell: 8.6549 8.6549 20.4035 Å, 90.00 90.00 120.00°
Space group R-3c (No. 167, hexagonal axes)
One atom of each set of equivalent atoms:
V  0.0000  0.0000  0.0000 (multiplicity 6)
Fe  0.0000  0.0000  0.1464 (multiplicity 12)
P  0.0000  0.2973  0.2500 (multiplicity 18)
O  0.0098  0.1777  0.9277 (multiplicity 36)
O  0.0127  0.2052  0.3116 (multiplicity 36)

Entry 5:
Diffraction record for VFe3P4O16. The powder X-ray diffraction pattern is computed, not measured: it uses a structure optimized by DFT (GGA+U) and copper Kα.

The 8 most intense peaks (2θ = 10–90°), by angle:
hkl, d_spacing, I/Imax
0 0 2, 4.990, 70
1 0 -1, 4.385, 88
0 1 2, 3.804, 27
1 1 1, 3.514, 88
1 1 -2, 3.000, 25
0 2 0, 2.938, 74
1 1 3, 2.490, 100
1 2 -1, 2.441, 32

Structural model:
Cell: 4.8808 5.8768 9.9809 Å, 90.00 90.01 90.00°
Space group Pm (No. 6)
One atom of each set of equivalent atoms:
V  0.0000  0.0000  0.0000 (multiplicity 1)
Fe  0.0800  0.5000  0.5450 (multiplicity 1)
Fe  0.4891  0.5000  0.0436 (multiplicity 1)
Fe  0.5799  0.0000  0.4967 (multiplicity 1)
P  0.1321  0.0000  0.6750 (multiplicity 1)
P  0.4354  0.0000  0.1778 (multiplicity 1)
P  0.6310  0.5000  0.3651 (multiplicity 1)
P  0.9320  0.5000  0.8655 (multiplicity 1)
O  0.1874  0.0000  0.8248 (multiplicity 1)
O  0.2402  0.5000  0.8928 (multiplicity 1)
O  0.2804  0.2043  0.6019 (multiplicity 2)
O  0.2848  0.2042  0.1039 (multiplicity 2)
O  0.3231  0.5000  0.3922 (multiplicity 1)
O  0.3759  0.0000  0.3277 (multiplicity 1)
O  0.6862  0.5000  0.2148 (multiplicity 1)
O  0.7410  0.0000  0.1507 (multiplicity 1)
O  0.7796  0.2956  0.4383 (multiplicity 2)
O  0.7826  0.2957  0.9379 (multiplicity 2)
O  0.8240  0.0000  0.6486 (multiplicity 1)
O  0.8795  0.5000  0.7143 (multiplicity 1)

Entry 6:
Diffraction record for V2Fe3P6WO24. The powder X-ray diffraction pattern is computed, not measured: it uses a structure optimized by DFT (GGA+U) and copper Kα.

The 8 most intense peaks (2θ = 10–90°), by angle:
hkl, d_spacing, I/Imax
0 0 3, 7.059, 35
1 1 0, 4.336, 100
1 0 4, 4.311, 36
1 1 3, 3.689, 83
2 -1 6, 2.728, 67
3 0 0, 2.502, 54
1 2 8, 1.930, 27
1 4 0, 1.638, 31

Structural model:
Cell: 8.6716 8.6716 21.0563 Å, 90.00 90.00 120.00°
Space group R3 (No. 146, hexagonal axes)
One atom of each set of equivalent atoms:
V  0.0000  0.0000  0.0000 (multiplicity 3)
V  0.0000  0.0000  0.4982 (multiplicity 3)
Fe  0.0000  0.0000  0.1432 (multiplicity 3)
Fe  0.0000  0.0000  0.3538 (multiplicity 3)
Fe  0.0000  0.0000  0.6417 (multiplicity 3)
P  0.0063  0.7122  0.2473 (multiplicity 9)
P  0.0364  0.3691  0.4127 (multiplicity 9)
W  0.0000  0.0000  0.8546 (multiplicity 3)
O  0.0086  0.1989  0.8083 (multiplicity 9)
O  0.0135  0.8314  0.9190 (multiplicity 9)
O  0.0213  0.1853  0.4224 (multiplicity 9)
O  0.1373  0.6678  0.9748 (multiplicity 9)
O  0.1394  0.6713  0.8535 (multiplicity 9)
O  0.1424  0.4676  0.3546 (multiplicity 9)
O  0.1679  0.4826  0.7416 (multiplicity 9)
O  0.1677  0.6834  0.2412 (multiplicity 9)

Entry 7:
Diffraction record for FeP2WO8. The powder X-ray diffraction pattern is computed, not measured: it uses a structure optimized by DFT (GGA+U) and copper Kα.

The 8 most intense peaks (2θ = 10–90°), by angle:
hkl, d_spacing, I/Imax
0 1 1, 5.193, 75
0 0 2, 5.090, 100
1 0 1, 4.400, 40
1 1 -1, 3.656, 90
1 1 1, 3.556, 66
0 2 0, 3.017, 97
1 1 -3, 2.601, 80
1 1 3, 2.494, 51

Structural model:
Cell: 5.0156 6.0376 10.1960 Å, 90.00 93.12 90.00°
Space group P2_1/m (No. 11)
One atom of each set of equivalent atoms:
Fe  0.0555  0.2500  0.2238 (multiplicity 2)
P  0.1137  0.7500  0.0961 (multiplicity 2)
P  0.4035  0.7500  0.5894 (multiplicity 2)
W  0.4410  0.2500  0.7194 (multiplicity 2)
O  0.1447  0.7500  0.9499 (multiplicity 2)
O  0.1794  0.2500  0.8709 (multiplicity 2)
O  0.2708  0.5464  0.6616 (multiplicity 4)
O  0.2738  0.5540  0.1693 (multiplicity 4)
O  0.2953  0.2500  0.3890 (multiplicity 2)
O  0.3141  0.7500  0.4435 (multiplicity 2)